Entry 1:
# Pr3Nd7Sc
Simulated X-ray diffraction stick pattern, Cu Ka. Input: the GGA-PBE geometry in Alexandria.
Kinematic intensities with the Lorentz-polarization factor, no thermal factor.

Main lines, most intense first (2θ = 5–70°):
30.33 deg, rel. 100; 35.17 deg, rel. 51; 60.13 deg, rel. 42; 50.59 deg, rel. 36; 63.10 deg, rel. 12; 17.38 deg, rel. 10; 24.67 deg, rel. 8; 39.48 deg, rel. 4; 43.43 deg, rel. 4; 14.17 deg, rel. 3

Cell and atoms:
Cell lengths 7.220, 7.220, 8.834 Å; angles 90.00, 90.00, 120.00 degrees
Fractional positions:
Pr 0.003 0.501 0.000
Pr 0.499 0.501 0.000
Pr 0.499 0.997 0.000
Nd 0.168 0.336 0.659
Nd 0.168 0.832 0.659
Nd 0.334 0.167 0.329
Nd 0.664 0.832 0.659
Nd 0.667 0.333 0.659
Nd 0.833 0.167 0.329
Nd 0.833 0.666 0.329
Sc 0.333 0.667 0.336



Entry 2:
# NaTl2SnSe4
Simulated X-ray diffraction stick pattern, Cu Ka. Input: the GGA-PBE geometry in Alexandria.
Kinematic intensities with the Lorentz-polarization factor, no thermal factor.

Main lines, most intense first (2θ = 5–70°):
29.64 deg, rel. 100; 42.61 deg, rel. 71; 29.91 deg, rel. 48; 12.96 deg, rel. 26; 43.49 deg, rel. 21; 41.32 deg, rel. 19; 51.84 deg, rel. 19; 53.68 deg, rel. 19; 69.91 deg, rel. 15; 24.18 deg, rel. 14

Cell and atoms:
Cell lengths 8.493, 8.493, 8.493 Å; angles 121.31, 118.06, 90.57 degrees
Fractional positions:
Na 0.000 0.000 0.000
Na 0.500 0.000 0.500
Tl 0.000 0.500 0.500
Tl 0.500 0.000 0.000
Tl 0.500 0.500 0.000
Tl 0.500 0.500 0.500
Sn 0.000 0.000 0.500
Sn 0.000 0.500 0.000
Se 0.217 0.246 0.970
Se 0.224 0.754 0.470
Se 0.230 0.226 0.496
Se 0.230 0.735 0.004
Se 0.770 0.265 0.996
Se 0.770 0.774 0.504
Se 0.776 0.246 0.530
Se 0.783 0.754 0.030



Entry 3:
# La2Ga4CuPd3
Simulated X-ray diffraction stick pattern, Cu Ka. Input: the GGA-PBE geometry in Alexandria.
Kinematic intensities with the Lorentz-polarization factor, no thermal factor.

Main lines, most intense first (2θ = 5–70°):
33.66 deg, rel. 100; 33.52 deg, rel. 77; 40.63 deg, rel. 75; 53.66 deg, rel. 40; 69.47 deg, rel. 32; 49.83 deg, rel. 26; 58.80 deg, rel. 25; 66.17 deg, rel. 22; 28.42 deg, rel. 21; 46.30 deg, rel. 19

Cell and atoms:
Cell lengths 4.442, 4.442, 10.042 Å; angles 90.00, 90.00, 90.00 degrees
Fractional positions:
La 0.000 0.500 0.249
La 0.500 0.000 0.751
Ga 0.000 0.000 0.500
Ga 0.000 0.500 0.881
Ga 0.500 0.000 0.119
Ga 0.500 0.500 0.500
Cu 0.500 0.500 0.000
Pd 0.000 0.000 0.000
Pd 0.000 0.500 0.630
Pd 0.500 0.000 0.370